This entry pairs a crystal structure of NdC with its calculated powder diffraction line list. Radiation: CuKα. Structure: a PBE-relaxed structure.
Intensities are scaled so that the largest is 100.

The 10 most intense peaks (15° ≤ 2θ ≤ 90°), low angle first:
- 26.33°, rel. 96
- 26.72°, rel. 70
- 27.42°, rel. 93
- 27.79°, rel. 73
- 29.94°, rel. 81
- 30.43°, rel. 100
- 38.54°, rel. 71
- 42.71°, rel. 45
- 51.15°, rel. 35
- 52.65°, rel. 34

Atomic structure:
```
4
Lattice="3.878 -1.848 0.000 3.878 1.848 0.000 -0.288 0.000 6.421" Properties=species:S:1:pos:R:3 pbc="T T T"
Nd 0.991 0.000 1.786
Nd 6.477 0.000 4.635
C 3.141 0.000 2.889
C 4.327 0.000 3.532
```

=====

This entry pairs a crystal structure of Sr2NdAu3 with its calculated powder diffraction line list. Radiation: CuKα. Structure: a PBE-relaxed structure.
Intensities are scaled so that the largest is 100.

The 10 most intense peaks (15° ≤ 2θ ≤ 90°), low angle first:
- 23.39°, rel. 12
- 33.29°, rel. 100
- 33.42°, rel. 21
- 47.83°, rel. 21
- 59.44°, rel. 20
- 59.56°, rel. 6
- 59.66°, rel. 15
- 69.94°, rel. 8
- 79.64°, rel. 7
- 79.76°, rel. 6

Atomic structure:
```
12
Lattice="2.682 -8.084 0.000 2.682 8.084 0.000 0.000 0.000 7.615" Properties=species:S:1:pos:R:3 pbc="T T T"
Sr 0.000 0.000 0.000
Sr 0.000 0.000 3.807
Sr 2.682 2.698 0.000
Sr 2.682 -2.698 0.000
Nd 2.682 2.652 3.807
Nd 2.682 -2.652 3.807
Au 2.682 5.256 2.127
Au 2.682 5.256 5.487
Au 2.682 0.000 1.992
Au 2.682 0.000 5.623
Au 2.682 -5.256 2.127
Au 2.682 -5.256 5.487
```

=====

This entry pairs a crystal structure of Tb6AlCu2 with its calculated powder diffraction line list. Radiation: CuKα. Structure: a PBE-relaxed structure.
Intensities are scaled so that the largest is 100.

The 10 most intense peaks (15° ≤ 2θ ≤ 90°), low angle first:
- 25.83°, rel. 29
- 27.83°, rel. 22
- 29.97°, rel. 21
- 31.70°, rel. 88
- 33.90°, rel. 100
- 34.55°, rel. 53
- 35.13°, rel. 20
- 38.35°, rel. 25
- 39.91°, rel. 27
- 59.61°, rel. 27

Atomic structure:
```
18
Lattice="-4.694 4.910 5.088 4.694 -4.910 5.088 4.694 4.910 -5.088" Properties=species:S:1:pos:R:3 pbc="T T T"
Tb 4.694 3.021 -2.635
Tb 2.607 1.785 0.000
Tb 6.781 1.785 0.000
Tb 1.848 4.910 -1.789
Tb 2.845 0.000 3.299
Tb 0.000 1.888 2.452
Tb 4.694 3.021 2.635
Tb 1.848 4.910 1.789
Tb 2.845 0.000 6.876
Tb -2.087 3.125 5.088
Tb 2.087 3.125 5.088
Tb 0.000 1.888 7.723
Al 0.000 0.000 0.000
Al 0.000 0.000 5.088
Cu 4.694 0.000 1.220
Cu 0.000 3.331 0.000
Cu 0.000 6.488 0.000
Cu 0.000 4.910 3.868
```

=====

This entry pairs a crystal structure of La7NdY3 with its calculated powder diffraction line list. Radiation: CuKα. Structure: a PBE-relaxed structure.
Intensities are scaled so that the largest is 100.

The 10 most intense peaks (15° ≤ 2θ ≤ 90°), low angle first:
- 27.31°, rel. 15
- 30.51°, rel. 23
- 30.87°, rel. 75
- 31.24°, rel. 100
- 31.44°, rel. 39
- 32.33°, rel. 23
- 33.56°, rel. 17
- 35.99°, rel. 10
- 55.14°, rel. 11
- 55.86°, rel. 10

Atomic structure:
```
11
Lattice="6.669 0.000 0.000 -0.674 6.788 0.000 -1.383 -1.711 8.697" Properties=species:S:1:pos:R:3 pbc="T T T"
La 0.000 0.000 0.000
La -1.036 3.720 5.607
La 0.246 0.315 6.151
La 1.452 3.420 7.943
La 3.159 1.657 0.753
La 4.365 4.761 2.545
La 5.648 1.357 3.089
Nd -0.337 3.394 0.000
Y 1.054 5.713 2.890
Y 2.306 2.538 4.348
Y 3.558 -0.637 5.806
```